# 1
This entry pairs a crystal structure of ZnPt18 with its calculated X-ray diffraction stick pattern. Radiation: λ = 1.5418 Å (Cu Kα). Structure: a DFT-relaxed cell (GGA-PBE, OQMD).
Kinematic intensities with the Lorentz-polarization factor, no thermal factor.

Most intense lines, 5 to 70 degrees two-theta, low angle first:
two_theta, d (Å), I/Imax
6.71, 13.167, 8
8.39, 10.534, 8
39.08, 2.305, 100
40.12, 2.248, 36
44.74, 2.026, 14
45.79, 1.982, 45
46.56, 1.951, 11
65.94, 1.417, 17
66.80, 1.400, 8
67.35, 1.390, 14

Structural model:
Lattice parameters (Å, degrees): 5.6103 2.8010 52.6679 90.00 90.00 90.00
Fractional coordinates of all 38 atoms:
Zn1 0.1250 0.2500 0.3517
Zn2 0.8750 0.7500 0.6483
Pt1 0.1242 0.2500 0.7542
Pt2 0.1250 0.2500 0.0566
Pt3 0.1250 0.2500 0.1322
Pt4 0.1250 0.2500 0.2079
Pt5 0.1250 0.2500 0.2839
Pt6 0.1252 0.2500 0.8300
Pt7 0.1250 0.2500 0.9056
Pt8 0.1250 0.2500 0.9811
Pt9 0.1369 0.2500 0.6778
Pt10 0.3741 0.7500 0.2458
Pt11 0.3750 0.7500 0.0189
Pt12 0.3750 0.7500 0.0944
Pt13 0.3752 0.7500 0.1700
Pt14 0.3750 0.7500 0.7163
Pt15 0.3750 0.7500 0.7920
Pt16 0.3750 0.7500 0.8678
Pt17 0.3750 0.7500 0.9434
Pt18 0.3869 0.7500 0.3222
Pt19 0.6131 0.2500 0.6778
Pt20 0.6250 0.2500 0.0566
Pt21 0.6250 0.2500 0.1322
Pt22 0.6250 0.2500 0.2080
Pt23 0.6250 0.2500 0.2837
Pt24 0.6248 0.2500 0.8300
Pt25 0.6250 0.2500 0.9056
Pt26 0.6250 0.2500 0.9811
Pt27 0.6259 0.2500 0.7542
Pt28 0.8631 0.7500 0.3222
Pt29 0.8750 0.7500 0.0189
Pt30 0.8750 0.7500 0.0944
Pt31 0.8748 0.7500 0.1700
Pt32 0.8750 0.7500 0.7161
Pt33 0.8750 0.7500 0.7921
Pt34 0.8750 0.7500 0.8678
Pt35 0.8750 0.7500 0.9434
Pt36 0.8758 0.7500 0.2458

***

# 2
This entry pairs a crystal structure of SmHoGeCl2 with its calculated X-ray diffraction stick pattern. Radiation: λ = 1.5418 Å (Cu Kα). Structure: a DFT-relaxed cell (GGA-PBE, OQMD).
Kinematic intensities with the Lorentz-polarization factor, no thermal factor.

Most intense lines, 5 to 70 degrees two-theta, low angle first:
two_theta, d (Å), I/Imax
9.11, 9.703, 91
24.97, 3.566, 11
26.63, 3.347, 43
31.13, 2.873, 100
37.54, 2.396, 21
43.98, 2.059, 36
45.02, 2.014, 12
45.21, 2.006, 36
54.86, 1.673, 19
64.91, 1.437, 12

Structural model:
Lattice parameters (Å, degrees): 4.1172 4.1172 9.7029 90.00 90.00 120.00
Fractional coordinates of all 5 atoms:
Sm1 0.0000 0.0000 0.0000
Ho1 0.6667 0.3333 0.3375
Ge1 0.3333 0.6667 0.1730
Cl1 0.0000 0.0000 0.4945
Cl2 0.6667 0.3333 0.8346

***

# 3
This entry pairs a crystal structure of Y3Tm4Fe2Te2 with its calculated X-ray diffraction stick pattern. Radiation: λ = 1.5418 Å (Cu Kα). Structure: a DFT-relaxed cell (GGA-PBE, OQMD).
Kinematic intensities with the Lorentz-polarization factor, no thermal factor.

Most intense lines, 5 to 70 degrees two-theta, low angle first:
two_theta, d (Å), I/Imax
24.92, 3.572, 38
30.67, 2.915, 43
33.84, 2.649, 82
33.97, 2.639, 100
34.36, 2.610, 27
34.78, 2.579, 90
39.12, 2.303, 27
46.89, 1.937, 37
59.07, 1.564, 33
62.63, 1.483, 25

Structural model:
Lattice parameters (Å, degrees): 9.2918 9.2918 9.2918 155.93 65.14 120.49
Fractional coordinates of all 11 atoms:
Y1 0.0000 0.0000 0.0000
Y2 0.6106 0.2612 0.3494
Y3 0.9119 0.2612 0.6506
Tm1 0.2777 0.4145 0.8631
Tm2 0.3112 0.6240 0.6872
Tm3 0.5514 0.4145 0.1369
Tm4 0.9368 0.6240 0.3128
Fe1 0.1708 0.9322 0.2386
Fe2 0.6936 0.9322 0.7614
Te1 0.2658 0.7658 0.5000
Te2 0.6607 0.6607 0.0000